[1]
Calculated X-ray powder pattern of Sm5YTe6 for Cu Kα, 1.54184 Å, from a GGA-PBE-relaxed structure.
Kinematic intensities with the Lorentz-polarization factor, no thermal factor.

Cell and atoms:
Lattice parameters (Å, degrees): 7.692 7.692 7.659 99.63 99.63 120.16
Element x y z (fractional)
Sm 0.000 0.000 0.000
Sm 0.167 0.833 0.500
Sm 0.328 0.672 0.000
Sm 0.672 0.328 0.000
Sm 0.833 0.167 0.500
Y 0.500 0.500 0.500
Te 0.090 0.418 0.254
Te 0.256 0.256 0.751
Te 0.418 0.090 0.254
Te 0.582 0.910 0.746
Te 0.744 0.744 0.249
Te 0.910 0.582 0.746

Most intense lines, 2θ = 5–70°, sorted by position:
Position (°2θ)  I_rel
28.49  100.0
40.60  12.7
40.73  50.6
40.84  12.6
50.35  13.6
50.55  13.5
58.95  12.6
66.57  5.7
66.72  11.6
66.81  11.5

[2]
Calculated X-ray powder pattern of SmY3Te6 for Cu Kα, 1.54184 Å, from a GGA-PBE-relaxed structure.
Kinematic intensities with the Lorentz-polarization factor, no thermal factor.

Cell and atoms:
Lattice parameters (Å, degrees): 12.506 4.377 12.847 90.00 109.34 90.00
Element x y z (fractional)
Sm 0.046 0.250 0.196
Sm 0.954 0.750 0.804
Y 0.155 0.250 0.581
Y 0.317 0.750 0.998
Y 0.433 0.250 0.334
Y 0.567 0.750 0.666
Y 0.683 0.250 0.002
Y 0.845 0.750 0.419
Te 0.084 0.750 0.401
Te 0.113 0.250 0.968
Te 0.193 0.750 0.750
Te 0.254 0.750 0.221
Te 0.393 0.250 0.561
Te 0.483 0.250 0.118
Te 0.517 0.750 0.882
Te 0.607 0.750 0.439
Te 0.746 0.250 0.779
Te 0.807 0.250 0.250
Te 0.887 0.750 0.032
Te 0.916 0.250 0.599

Most intense lines, 2θ = 5–70°, sorted by position:
Position (°2θ)  I_rel
25.10  37.7
27.79  100.0
28.30  67.4
28.94  31.1
30.10  32.7
30.56  67.6
37.08  34.7
37.38  56.2
38.92  30.9
41.28  93.5

[3]
Calculated X-ray powder pattern of Sm3ZnTe3 for Cu Kα, 1.54184 Å, from a GGA-PBE-relaxed structure.
Kinematic intensities with the Lorentz-polarization factor, no thermal factor.

Cell and atoms:
Lattice parameters (Å, degrees): 12.982 4.168 15.166 90.00 90.00 90.00
Element x y z (fractional)
Sm 0.062 0.250 0.113
Sm 0.116 0.250 0.565
Sm 0.248 0.250 0.838
Sm 0.252 0.750 0.338
Sm 0.384 0.750 0.065
Sm 0.438 0.750 0.613
Sm 0.562 0.250 0.387
Sm 0.616 0.250 0.935
Sm 0.748 0.250 0.662
Sm 0.752 0.750 0.162
Sm 0.884 0.750 0.435
Sm 0.938 0.750 0.887
Zn 0.016 0.250 0.759
Zn 0.484 0.750 0.259
Zn 0.516 0.250 0.741
Zn 0.984 0.750 0.241
Te 0.058 0.250 0.362
Te 0.158 0.750 0.977
Te 0.220 0.750 0.688
Te 0.280 0.250 0.188
Te 0.342 0.250 0.477
Te 0.442 0.750 0.862
Te 0.558 0.250 0.138
Te 0.658 0.750 0.523
Te 0.720 0.750 0.812
Te 0.780 0.250 0.312
Te 0.842 0.250 0.023
Te 0.942 0.750 0.638

Most intense lines, 2θ = 5–70°, sorted by position:
Position (°2θ)  I_rel
28.60  100.0
29.95  44.0
30.35  27.5
31.04  28.5
32.63  59.7
34.82  46.6
35.04  52.6
38.22  27.7
39.27  33.7
43.43  45.3

[4]
Calculated X-ray powder pattern of Sm5Th for Cu Kα, 1.54184 Å, from a GGA-PBE-relaxed structure.
Kinematic intensities with the Lorentz-polarization factor, no thermal factor.

Cell and atoms:
Lattice parameters (Å, degrees): 3.621 3.621 17.735 90.00 90.00 120.00
Element x y z (fractional)
Sm 0.000 0.000 0.000
Sm 0.333 0.667 0.166
Sm 0.333 0.667 0.662
Sm 0.667 0.333 0.338
Sm 0.667 0.333 0.834
Th 0.000 0.000 0.500

Most intense lines, 2θ = 5–70°, sorted by position:
Position (°2θ)  I_rel
9.97  2.5
14.99  0.7
28.91  0.8
30.23  100.0
32.31  0.8
35.05  51.2
38.31  0.8
50.40  36.2
59.91  43.4
62.87  12.5

[5]
Calculated X-ray powder pattern of Sm13Th3 for Cu Kα, 1.54184 Å, from a GGA-PBE-relaxed structure.
Kinematic intensities with the Lorentz-polarization factor, no thermal factor.

Cell and atoms:
Lattice parameters (Å, degrees): 7.250 8.632 8.632 86.41 90.00 90.00
Element x y z (fractional)
Sm 0.000 0.000 0.000
Sm 0.000 0.429 0.923
Sm 0.000 0.512 0.512
Sm 0.000 0.923 0.429
Sm 0.252 0.171 0.673
Sm 0.252 0.256 0.256
Sm 0.252 0.673 0.171
Sm 0.500 0.418 0.923
Sm 0.500 0.515 0.515
Sm 0.500 0.923 0.418
Sm 0.748 0.171 0.673
Sm 0.748 0.256 0.256
Sm 0.748 0.673 0.171
Th 0.257 0.760 0.760
Th 0.500 0.999 0.999
Th 0.743 0.760 0.760

Most intense lines, 2θ = 5–70°, sorted by position:
Position (°2θ)  I_rel
28.40  23.6
30.25  26.4
32.26  100.0
41.97  16.6
50.29  19.1
55.02  22.2
59.81  22.7
60.95  5.2
61.05  10.9
67.51  4.2

[6]
Calculated X-ray powder pattern of SmTh2 for Cu Kα, 1.54184 Å, from a GGA-PBE-relaxed structure.
Kinematic intensities with the Lorentz-polarization factor, no thermal factor.

Cell and atoms:
Lattice parameters (Å, degrees): 3.589 3.589 26.306 90.00 90.00 120.00
Element x y z (fractional)
Sm 0.000 0.000 0.000
Sm 0.333 0.667 0.222
Sm 0.667 0.333 0.778
Th 0.000 0.000 0.336
Th 0.000 0.000 0.664
Th 0.333 0.667 0.555
Th 0.333 0.667 0.889
Th 0.667 0.333 0.111
Th 0.667 0.333 0.445

Most intense lines, 2θ = 5–70°, sorted by position:
Position (°2θ)  I_rel
6.72  1.2
13.46  2.0
28.93  1.0
30.53  100.0
35.40  50.9
50.93  36.9
60.53  33.3
60.63  10.9
63.51  9.6
63.67  3.1

[7]
Calculated X-ray powder pattern of SmTh5 for Cu Kα, 1.54184 Å, from a GGA-PBE-relaxed structure.
Kinematic intensities with the Lorentz-polarization factor, no thermal factor.

Cell and atoms:
Lattice parameters (Å, degrees): 3.590 3.590 15.125 90.00 90.00 90.00
Element x y z (fractional)
Sm 0.000 0.000 0.000
Th 0.000 0.000 0.335
Th 0.000 0.000 0.665
Th 0.500 0.500 0.171
Th 0.500 0.500 0.500
Th 0.500 0.500 0.829

Most intense lines, 2θ = 5–70°, sorted by position:
Position (°2θ)  I_rel
5.84  4.4
11.70  1.0
30.57  100.0
35.36  34.3
35.61  16.6
50.87  12.5
51.06  24.4
60.52  29.9
60.86  14.3
63.64  12.8

[8]
Calculated X-ray powder pattern of Sm5Th3 for Cu Kα, 1.54184 Å, from a GGA-PBE-relaxed structure.
Kinematic intensities with the Lorentz-polarization factor, no thermal factor.

Cell and atoms:
Lattice parameters (Å, degrees): 3.613 3.613 20.440 90.00 90.00 90.00
Element x y z (fractional)
Sm 0.000 0.000 0.000
Sm 0.000 0.000 0.245
Sm 0.000 0.000 0.755
Sm 0.500 0.500 0.381
Sm 0.500 0.500 0.619
Th 0.000 0.000 0.500
Th 0.500 0.500 0.125
Th 0.500 0.500 0.875

Most intense lines, 2θ = 5–70°, sorted by position:
Position (°2θ)  I_rel
8.65  1.9
12.99  4.5
25.03  2.0
30.30  100.0
35.13  50.7
37.60  1.5
39.69  2.3
50.52  36.3
60.05  43.1
63.02  12.4